Li5Mn4O8: computed powder X-ray diffraction pattern (Cu Kα), based on a crystal structure in the Materials Project, relaxed with PBE+U.
Lines closer than 0.1° are merged.

Crystal structure
Unit cell a=5.810 b=11.244 c=10.087 alpha=90.00 beta=90.00 gamma=90.00
Space group Cmc2_1 (No. 36)
Symmetry-distinct sites (fractional):
Li  0.000  0.027  0.000 (multiplicity 4)
Li  0.000  0.207  0.922 (multiplicity 4)
Li  0.000  0.342  0.708 (multiplicity 4)
Li  0.219  0.406  0.921 (multiplicity 8)
Mn  0.000  0.177  0.194 (multiplicity 4)
Mn  0.000  0.320  0.454 (multiplicity 4)
Mn  0.249  0.420  0.197 (multiplicity 8)
O  0.000  0.018  0.810 (multiplicity 4)
O  0.000  0.130  0.574 (multiplicity 4)
O  0.000  0.363  0.078 (multiplicity 4)
O  0.000  0.486  0.310 (multiplicity 4)
O  0.237  0.113  0.076 (multiplicity 8)
O  0.240  0.240  0.315 (multiplicity 8)

Most intense lines, 2θ from 10° to 80°, by angle:
2θ 17.6, d 5.043, intensity 83.7; 2θ 18.1, d 4.911, intensity 45.0; 2θ 19.3, d 4.595, intensity 86.8; 2θ 33.1, d 2.708, intensity 76.2; 2θ 33.5, d 2.671, intensity 56.8; 2θ 41.9, d 2.157, intensity 45.4; 2θ 44.2, d 2.047, intensity 100.0; 2θ 50.6, d 1.804, intensity 52.8; 2θ 58.0, d 1.589, intensity 44.3; 2θ 58.6, d 1.575, intensity 42.3



Ca3V2Bi2O12: computed powder X-ray diffraction pattern (Cu Kα), based on a crystal structure in the Materials Project, relaxed with PBE+U.
Lines closer than 0.1° are merged.

Crystal structure
Unit cell a=5.499 b=7.254 c=7.578 alpha=102.79 beta=92.74 gamma=90.10
Space group P1 (No. 1)
Symmetry-distinct sites (fractional):
Ca  0.000  0.000  0.000 (multiplicity 1)
Ca  0.006  0.365  0.388 (multiplicity 1)
Ca  0.502  0.566  0.159 (multiplicity 1)
V  0.033  0.498  0.894 (multiplicity 1)
V  0.556  0.093  0.281 (multiplicity 1)
Bi  0.486  0.679  0.662 (multiplicity 1)
Bi  0.976  0.876  0.504 (multiplicity 1)
O  0.110  0.342  0.028 (multiplicity 1)
O  0.171  0.701  0.011 (multiplicity 1)
O  0.197  0.448  0.690 (multiplicity 1)
O  0.234  0.092  0.288 (multiplicity 1)
O  0.242  0.905  0.739 (multiplicity 1)
O  0.254  0.638  0.414 (multiplicity 1)
O  0.666  0.254  0.164 (multiplicity 1)
O  0.684  0.876  0.185 (multiplicity 1)
O  0.710  0.528  0.866 (multiplicity 1)
O  0.711  0.164  0.489 (multiplicity 1)
O  0.739  0.611  0.448 (multiplicity 1)
O  0.754  0.890  0.746 (multiplicity 1)

Most intense lines, 2θ from 10° to 80°, by angle:
2θ 12.0, d 7.381, intensity 80.7; 2θ 12.5, d 7.073, intensity 100.0; 2θ 19.2, d 4.621, intensity 91.0; 2θ 22.0, d 4.042, intensity 31.0; 2θ 28.5, d 3.136, intensity 45.5; 2θ 29.0, d 3.081, intensity 41.2; 2θ 29.9, d 2.993, intensity 84.2; 2θ 30.1, d 2.967, intensity 73.2; 2θ 30.2, d 2.957, intensity 38.6; 2θ 30.4, d 2.942, intensity 44.3